# 1
Starting from a DFT-relaxed cell (PBE, Alexandria), the X-ray diffraction stick pattern of ScS8 was calculated for Cu Kα (λ = 1.5418 Å).

Atomic structure:
a = 7.548 Å, b = 7.548 Å, c = 7.548 Å
α = 94.25°, β = 94.25°, γ = 148.39°
Positions (direct):
Sc 0.000 0.000 0.000
S 0.000 0.398 0.398
S 0.000 0.602 0.602
S 0.382 0.382 0.763
S 0.382 0.618 0.000
S 0.398 0.000 0.398
S 0.602 0.000 0.602
S 0.618 0.382 0.000
S 0.618 0.618 0.237

Top 10 peaks for 10° ≤ 2θ ≤ 80°, most intense first:
- d 5.135, I = 100
- d 2.631, I = 73
- d 1.838, I = 44
- d 2.341, I = 19
- d 2.056, I = 17
- d 1.761, I = 17
- d 1.730, I = 15
- d 3.631, I = 14
- d 1.338, I = 13
- d 2.421, I = 12


# 2
Starting from a DFT-relaxed cell (PBE, Alexandria), the X-ray diffraction stick pattern of Sc4S was calculated for Cu Kα (λ = 1.5418 Å).

Atomic structure:
a = 11.318 Å, b = 11.318 Å, c = 11.318 Å
α = 17.40°, β = 17.40°, γ = 17.40°
Positions (direct):
Sc 0.118 0.118 0.118
Sc 0.294 0.294 0.294
Sc 0.706 0.706 0.706
Sc 0.882 0.882 0.882
S 0.500 0.500 0.500

Top 10 peaks for 10° ≤ 2θ ≤ 80°, most intense first:
- d 2.711, I = 100
- d 2.218, I = 32
- d 1.712, I = 26
- d 2.519, I = 18
- d 2.786, I = 17
- d 1.448, I = 12
- d 1.459, I = 12
- d 1.639, I = 11
- d 2.418, I = 8
- d 1.943, I = 6


# 3
Starting from a DFT-relaxed cell (PBE, Alexandria), the X-ray diffraction stick pattern of Sc3SeS2 was calculated for Cu Kα (λ = 1.5418 Å).

Atomic structure:
a = 6.506 Å, b = 6.506 Å, c = 6.506 Å
α = 146.42°, β = 132.03°, γ = 59.83°
Positions (direct):
Sc 0.000 0.000 0.000
Sc 0.319 0.319 0.000
Sc 0.681 0.681 0.000
Se 0.500 0.000 0.500
S 0.163 0.663 0.500
S 0.837 0.337 0.500

Top 10 peaks for 10° ≤ 2θ ≤ 80°, most intense first:
- d 2.658, I = 100
- d 1.875, I = 66
- d 2.645, I = 50
- d 1.880, I = 32
- d 1.532, I = 32
- d 2.693, I = 10
- d 1.329, I = 9
- d 3.566, I = 7
- d 4.789, I = 7
- d 1.323, I = 5


# 4
Starting from a DFT-relaxed cell (PBE, Alexandria), the X-ray diffraction stick pattern of Y2Sc2Se2S3 was calculated for Cu Kα (λ = 1.5418 Å).

Atomic structure:
a = 9.585 Å, b = 9.585 Å, c = 9.585 Å
α = 150.94°, β = 150.94°, γ = 41.56°
Positions (direct):
Y 0.181 0.181 0.000
Y 0.819 0.819 0.000
Sc 0.000 0.500 0.500
Sc 0.500 0.000 0.500
Se 0.404 0.404 0.000
Se 0.596 0.596 0.000
S 0.000 0.000 0.000
S 0.250 0.750 0.500
S 0.750 0.250 0.500

Top 10 peaks for 10° ≤ 2θ ≤ 80°, most intense first:
- d 2.874, I = 100
- d 2.405, I = 72
- d 2.709, I = 54
- d 1.844, I = 52
- d 3.401, I = 31
- d 1.700, I = 24
- d 1.871, I = 19
- d 3.746, I = 19
- d 1.250, I = 17
- d 1.440, I = 14